Structure and computed powder X-ray diffraction pattern of ErMoClO4 (a cell relaxed with GGA+U; a wavelength of 1.5418 Å).
No peak broadening, texture or thermal motion is included.

Structure:
```
ErMoClO4
1.0
5.1222 -3.6371 0.0000
5.1222 3.6371 0.0000
-2.0717 0.0000 6.5840
Er Mo Cl O
2 2 2 8
Direct
0.2219 0.2219 0.1133 Er
0.7781 0.7781 0.8867 Er
0.3618 0.3618 0.7310 Mo
0.6382 0.6382 0.2690 Mo
0.0106 0.0106 0.7690 Cl
0.9894 0.9894 0.2310 Cl
0.1072 0.4914 0.8463 O
0.2929 0.2929 0.4631 O
0.4561 0.4561 0.2008 O
0.4914 0.1072 0.8463 O
0.5086 0.8928 0.1537 O
0.5439 0.5439 0.7992 O
0.7071 0.7071 0.5369 O
0.8928 0.5086 0.1537 O
```

Largest 10 diffraction maxima, sorted by position, 2θ from 15° to 90°:
2θ/deg, Rel. int.
18.16, 56
24.47, 100
25.76, 54
28.65, 57
29.38, 60
34.68, 42
35.83, 27
46.02, 27
46.24, 23
46.76, 22